(1)
Structure and calculated XRD peak list of NdZn2SiPt4 (a cell relaxed with GGA-PBE; Cu Ka).

a b c (Å): 8.9499 8.9499 8.9499
angles (deg): 27.98 27.98 27.98
Element x y z (fractional)
1 Nd 0.0000 0.0000 0.0000
2 Zn 0.2481 0.2481 0.2481
3 Zn 0.7519 0.7519 0.7519
4 Si 0.5000 0.5000 0.5000
5 Pt 0.1378 0.1378 0.1378
6 Pt 0.4067 0.4067 0.4067
7 Pt 0.5933 0.5933 0.5933
8 Pt 0.8622 0.8622 0.8622

Principal peaks in the range 2θ from 10° to 90°, sorted by position:
8.594 Å, rel. 17; 3.240 Å, rel. 25; 3.032 Å, rel. 27; 2.627 Å, rel. 72; 2.444 Å, rel. 46; 2.164 Å, rel. 100; 1.987 Å, rel. 29; 1.670 Å, rel. 19; 1.346 Å, rel. 21; 1.322 Å, rel. 17

---

(2)
Structure and calculated XRD peak list of Nd2ZnSiPt6 (a cell relaxed with GGA-PBE; Cu Ka).

a b c (Å): 6.6111 6.6111 6.6111
angles (deg): 60.00 60.00 60.00
Element x y z (fractional)
1 Nd 0.2500 0.2500 0.2500
2 Nd 0.7500 0.7500 0.7500
3 Zn 0.0000 0.0000 0.0000
4 Si 0.5000 0.5000 0.5000
5 Pt 0.2565 0.2565 0.7435
6 Pt 0.2565 0.7435 0.2565
7 Pt 0.2565 0.7435 0.7435
8 Pt 0.7435 0.2565 0.2565
9 Pt 0.7435 0.2565 0.7435
10 Pt 0.7435 0.7435 0.2565

Principal peaks in the range 2θ from 10° to 90°, sorted by position:
4.675 Å, rel. 6; 2.699 Å, rel. 100; 2.337 Å, rel. 66; 2.145 Å, rel. 1; 2.091 Å, rel. 3; 1.653 Å, rel. 46; 1.558 Å, rel. 1; 1.409 Å, rel. 41; 1.349 Å, rel. 16; 1.169 Å, rel. 7

---

(3)
Structure and calculated XRD peak list of Nd3SmPt2 (a cell relaxed with GGA-PBE; Cu Ka).

a b c (Å): 4.9150 9.1213 7.3723
angles (deg): 90.00 90.00 90.00
Element x y z (fractional)
1 Nd 0.0000 0.0845 0.0000
2 Nd 0.0000 0.3380 0.3607
3 Nd 0.0000 0.6620 0.8607
4 Nd 0.0000 0.9155 0.5000
5 Nd 0.5000 0.1643 0.6499
6 Nd 0.5000 0.8357 0.1499
7 Sm 0.5000 0.4156 0.0108
8 Sm 0.5000 0.5844 0.5108
9 Pt 0.0000 0.3404 0.7658
10 Pt 0.0000 0.6596 0.2658
11 Pt 0.5000 0.1629 0.2459
12 Pt 0.5000 0.8371 0.7459

Principal peaks in the range 2θ from 10° to 90°, sorted by position:
3.045 Å, rel. 68; 2.949 Å, rel. 25; 2.867 Å, rel. 22; 2.807 Å, rel. 100; 2.586 Å, rel. 62; 2.457 Å, rel. 58; 2.163 Å, rel. 21; 2.137 Å, rel. 27; 2.117 Å, rel. 33; 1.405 Å, rel. 21

---

(4)
Structure and calculated XRD peak list of NdSm3Pt8 (a cell relaxed with GGA-PBE; Cu Ka).

a b c (Å): 9.5219 9.5219 9.5219
angles (deg): 33.53 33.53 33.53
Element x y z (fractional)
1 Nd 0.0000 0.0000 0.0000
2 Sm 0.3752 0.3752 0.3752
3 Sm 0.5001 0.5001 0.5001
4 Sm 0.8746 0.8746 0.8746
5 Pt 0.1875 0.1875 0.1875
6 Pt 0.4372 0.4372 0.9370
7 Pt 0.4372 0.9370 0.4372
8 Pt 0.4383 0.9375 0.9375
9 Pt 0.6875 0.6875 0.6875
10 Pt 0.9370 0.4372 0.4372
11 Pt 0.9375 0.4383 0.9375
12 Pt 0.9375 0.9375 0.4383

Principal peaks in the range 2θ from 10° to 90°, sorted by position:
4.486 Å, rel. 15; 2.747 Å, rel. 20; 2.343 Å, rel. 100; 2.243 Å, rel. 49; 1.943 Å, rel. 9; 1.586 Å, rel. 7; 1.495 Å, rel. 33; 1.374 Å, rel. 30; 1.185 Å, rel. 12; 1.171 Å, rel. 19

---

(5)
Structure and calculated XRD peak list of NdSn3Pt (a cell relaxed with GGA-PBE; Cu Ka).

a b c (Å): 4.4669 7.2909 7.9802
angles (deg): 90.00 90.00 90.00
Element x y z (fractional)
1 Nd 0.2500 0.2500 0.2463
2 Nd 0.7500 0.7500 0.7537
3 Sn 0.2500 0.0362 0.6599
4 Sn 0.2500 0.4638 0.6599
5 Sn 0.2500 0.7500 0.0616
6 Sn 0.7500 0.2500 0.9384
7 Sn 0.7500 0.5362 0.3401
8 Sn 0.7500 0.9638 0.3401
9 Pt 0.2500 0.7500 0.4067
10 Pt 0.7500 0.2500 0.5933

Principal peaks in the range 2θ from 10° to 90°, sorted by position:
7.980 Å, rel. 39; 3.645 Å, rel. 13; 2.755 Å, rel. 46; 2.662 Å, rel. 100; 2.499 Å, rel. 33; 2.305 Å, rel. 21; 2.233 Å, rel. 29; 1.823 Å, rel. 15; 1.665 Å, rel. 26; 1.358 Å, rel. 12

---

(6)
Structure and calculated XRD peak list of Nd4SnPt2 (a cell relaxed with GGA-PBE; Cu Ka).

a b c (Å): 9.6671 8.3850 8.1991
angles (deg): 71.30 55.24 53.45
Element x y z (fractional)
1 Nd 0.1397 0.2833 0.3027
2 Nd 0.2257 0.6973 0.7167
3 Nd 0.2833 0.1397 0.7743
4 Nd 0.3027 0.7743 0.1397
5 Nd 0.6973 0.2257 0.8603
6 Nd 0.7167 0.8603 0.2257
7 Nd 0.7743 0.3027 0.2833
8 Nd 0.8603 0.7167 0.6973
9 Sn 0.3750 0.3750 0.3750
10 Sn 0.6250 0.6250 0.6250
11 Pt 0.0000 0.0000 0.0000
12 Pt 0.0000 0.0000 0.5000
13 Pt 0.0000 0.5000 0.0000
14 Pt 0.5000 0.0000 0.0000

Principal peaks in the range 2θ from 10° to 90°, sorted by position:
6.734 Å, rel. 43; 4.831 Å, rel. 24; 3.474 Å, rel. 40; 3.361 Å, rel. 52; 2.977 Å, rel. 100; 2.614 Å, rel. 57; 2.542 Å, rel. 58; 2.415 Å, rel. 49; 1.944 Å, rel. 23; 1.924 Å, rel. 25